1.
Calculated powder X-ray diffraction pattern
Compound: Ba3P4
Radiation: λ = 1.5418 Å (Cu Kα)
Structure: DFT lattice parameters and positions (PBE)
Peak positions follow from Bragg's law for the DFT cell and can differ from measured ones.

Crystal structure
```
data_Ba3P4
_chemical_formula_sum 'Ba24 P32'
_cell_length_a 15.020
_cell_length_b 18.425
_cell_length_c 6.240
_cell_angle_alpha 90.00
_cell_angle_beta 90.00
_cell_angle_gamma 90.00
_symmetry_space_group_name_H-M 'F d d 2'
_symmetry_Int_Tables_number 43
_symmetry_space_group_name_Hall 'F 2 -2d'
loop_
_atom_site_label
_atom_site_fract_x
_atom_site_fract_y
_atom_site_fract_z
_atom_site_occupancy
Ba1 0.000 0.000 0.000 1
Ba2 0.005 0.331 0.002 1
P1 0.078 0.003 0.491 1
P2 0.097 0.326 0.518 1
```

Peak list (6 most intense, 2θ from 5° to 70°, sorted by position)
two_theta  I/Imax
21.14  89
27.06  100
31.04  87
31.47  84
36.27  70
41.25  51

---

2.
Calculated powder X-ray diffraction pattern
Compound: NaSn2O4
Radiation: λ = 1.5418 Å (Cu Kα)
Structure: DFT lattice parameters and positions (PBE)
Peak positions follow from Bragg's law for the DFT cell and can differ from measured ones.

Crystal structure
a b c (Å): 9.446 9.446 9.446
angles (deg): 90.00 90.00 90.00
Space group Fd-3m (No. 227, origin choice 2)
Unique sites:
Na (0.125, 0.125, 0.125)
Sn (0.000, 0.000, 0.500)
O (0.018, 0.018, 0.732)

Peak list (6 most intense, 2θ from 5° to 70°, sorted by position)
two_theta  I/Imax
16.25  100
31.41  83
32.84  44
38.11  52
50.18  37
54.99  46

---

3.
Calculated powder X-ray diffraction pattern
Compound: ZnSn2O4
Radiation: λ = 1.5418 Å (Cu Kα)
Structure: DFT lattice parameters and positions (PBE)
Peak positions follow from Bragg's law for the DFT cell and can differ from measured ones.

Crystal structure
```
data_ZnSn2O4
_chemical_formula_sum 'Zn4 Sn8 O16'
_cell_length_a 6.223
_cell_length_b 6.999
_cell_length_c 12.378
_cell_angle_alpha 90.00
_cell_angle_beta 115.20
_cell_angle_gamma 90.00
_symmetry_space_group_name_H-M 'P 1 2/c 1'
_symmetry_Int_Tables_number 13
loop_
_symmetry_equiv_pos_as_xyz
'x,y,z'
'-x,-y,-z'
'-x,y,-z+1/2'
'x,-y,z+1/2'
loop_
_atom_site_label
_atom_site_fract_x
_atom_site_fract_y
_atom_site_fract_z
_atom_site_occupancy
Zn1 0.000 0.052 0.250 1
Zn2 0.500 0.240 0.250 1
Sn1 0.000 0.000 0.000 1
Sn2 0.197 0.403 0.447 1
Sn3 0.500 0.000 0.000 1
O1 0.114 0.213 0.137 1
O2 0.163 0.114 0.898 1
O3 0.313 0.166 0.575 1
O4 0.404 0.233 0.379 1
```

Peak list (6 most intense, 2θ from 5° to 70°, sorted by position)
two_theta  I/Imax
12.65  48
14.93  58
15.82  100
30.10  52
34.33  58
36.62  51